[1]
For Ce4Sn2Ir, DFT lattice parameters and positions (GGA-PBE) gives the computed powder diffractogram in this record (Cu Kα (λ = 1.5418 Å)).

Peak list (8 most intense, 2θ from 5° to 70°, most intense first)
Position (°2θ)	I_rel
28.41	100
38.19	85
30.77	75
10.15	35
42.29	26
50.06	26
26.90	24
59.92	24

Structure:
```
data_Ce4Sn2Ir
_chemical_formula_sum 'Ce8 Sn4 Ir2'
_symmetry_space_group_name_H-M 'P 1'
_symmetry_Int_Tables_number 1
_symmetry_space_group_name_Hall 'P 1'
_cell_length_a 6.628
_cell_length_b 17.434
_cell_length_c 3.645
_cell_angle_alpha 90.00
_cell_angle_beta 90.00
_cell_angle_gamma 90.00
loop_
_atom_site_label
_atom_site_type_symbol
_atom_site_fract_x
_atom_site_fract_y
_atom_site_fract_z
_atom_site_occupancy
Ce1 Ce 0.000 0.173 0.000 1
Ce2 Ce 0.000 0.827 0.000 1
Ce3 Ce 0.208 0.500 0.500 1
Ce4 Ce 0.292 0.000 0.500 1
Ce5 Ce 0.500 0.327 0.000 1
Ce6 Ce 0.500 0.673 0.000 1
Ce7 Ce 0.708 0.000 0.500 1
Ce8 Ce 0.792 0.500 0.500 1
Sn1 Sn 0.000 0.332 0.500 1
Sn2 Sn 0.000 0.668 0.500 1
Sn3 Sn 0.500 0.168 0.500 1
Sn4 Sn 0.500 0.832 0.500 1
Ir1 Ir 0.000 0.000 0.000 1
Ir2 Ir 0.500 0.500 0.000 1
```



[2]
For Sr3CeIr8, DFT lattice parameters and positions (GGA-PBE) gives the computed powder diffractogram in this record (Cu Kα (λ = 1.5418 Å)).

Peak list (8 most intense, 2θ from 5° to 70°, most intense first)
Position (°2θ)	I_rel
38.65	100
40.42	46
19.90	36
62.45	31
47.05	16
68.66	16
40.52	15
68.80	15

Structure:
```
data_Sr3CeIr8
_chemical_formula_sum 'Sr3 Ce1 Ir8'
_symmetry_space_group_name_H-M 'P 1'
_symmetry_Int_Tables_number 1
_symmetry_space_group_name_Hall 'P 1'
_cell_length_a 9.449
_cell_length_b 9.449
_cell_length_c 9.449
_cell_angle_alpha 33.64
_cell_angle_beta 33.64
_cell_angle_gamma 33.64
loop_
_atom_site_label
_atom_site_type_symbol
_atom_site_fract_x
_atom_site_fract_y
_atom_site_fract_z
_atom_site_occupancy
Sr1 Sr 0.000 0.000 0.000 1
Sr2 Sr 0.124 0.124 0.124 1
Sr3 Sr 0.627 0.627 0.627 1
Ce1 Ce 0.500 0.500 0.500 1
Ir1 Ir 0.063 0.063 0.557 1
Ir2 Ir 0.063 0.557 0.063 1
Ir3 Ir 0.070 0.563 0.563 1
Ir4 Ir 0.313 0.313 0.313 1
Ir5 Ir 0.557 0.063 0.063 1
Ir6 Ir 0.563 0.070 0.563 1
Ir7 Ir 0.563 0.563 0.070 1
Ir8 Ir 0.813 0.813 0.813 1
```



[3]
For Tb3CeIr2, DFT lattice parameters and positions (GGA-PBE) gives the computed powder diffractogram in this record (Cu Kα (λ = 1.5418 Å)).

Peak list (8 most intense, 2θ from 5° to 70°, most intense first)
Position (°2θ)	I_rel
36.55	100
22.27	100
37.19	91
65.38	35
34.69	33
43.88	24
29.16	24
51.69	22

Structure:
```
data_Tb3CeIr2
_chemical_formula_sum 'Tb6 Ce2 Ir4'
_symmetry_space_group_name_H-M 'P 1'
_symmetry_Int_Tables_number 1
_symmetry_space_group_name_Hall 'P 1'
_cell_length_a 8.414
_cell_length_b 8.414
_cell_length_c 8.414
_cell_angle_alpha 131.94
_cell_angle_beta 71.64
_cell_angle_gamma 130.29
loop_
_atom_site_label
_atom_site_type_symbol
_atom_site_fract_x
_atom_site_fract_y
_atom_site_fract_z
_atom_site_occupancy
Tb1 Tb 0.007 0.750 0.257 1
Tb2 Tb 0.250 0.250 0.000 1
Tb3 Tb 0.493 0.750 0.743 1
Tb4 Tb 0.507 0.250 0.257 1
Tb5 Tb 0.750 0.750 0.000 1
Tb6 Tb 0.993 0.250 0.743 1
Ce1 Ce 0.000 0.500 0.500 1
Ce2 Ce 0.500 0.000 0.500 1
Ir1 Ir 0.132 0.230 0.362 1
Ir2 Ir 0.368 0.730 0.098 1
Ir3 Ir 0.632 0.270 0.902 1
Ir4 Ir 0.868 0.770 0.638 1
```



[4]
For Tb2CeIr9, DFT lattice parameters and positions (GGA-PBE) gives the computed powder diffractogram in this record (Cu Kα (λ = 1.5418 Å)).

Peak list (8 most intense, 2θ from 5° to 70°, most intense first)
Position (°2θ)	I_rel
39.57	100
42.80	44
39.22	30
41.04	28
19.54	25
64.18	24
33.66	21
42.47	20

Structure:
```
data_Tb2CeIr9
_chemical_formula_sum 'Tb2 Ce1 Ir9'
_symmetry_space_group_name_H-M 'P 1'
_symmetry_Int_Tables_number 1
_symmetry_space_group_name_Hall 'P 1'
_cell_length_a 9.318
_cell_length_b 9.318
_cell_length_c 9.318
_cell_angle_alpha 33.20
_cell_angle_beta 33.20
_cell_angle_gamma 33.20
loop_
_atom_site_label
_atom_site_type_symbol
_atom_site_fract_x
_atom_site_fract_y
_atom_site_fract_z
_atom_site_occupancy
Tb1 Tb 0.140 0.140 0.140 1
Tb2 Tb 0.860 0.860 0.860 1
Ce1 Ce 0.000 0.000 0.000 1
Ir1 Ir 0.083 0.582 0.582 1
Ir2 Ir 0.333 0.333 0.333 1
Ir3 Ir 0.418 0.418 0.917 1
Ir4 Ir 0.418 0.917 0.418 1
Ir5 Ir 0.500 0.500 0.500 1
Ir6 Ir 0.582 0.083 0.582 1
Ir7 Ir 0.582 0.582 0.083 1
Ir8 Ir 0.667 0.667 0.667 1
Ir9 Ir 0.917 0.418 0.418 1
```